Entry 1:
AlH3O3: computed powder XRD pattern (Cu Kα (weighted mean of Kα1 and Kα2)), based on the PBE geometry in the Materials Project.

Cell and atoms:
Unit cell a=5.1817 b=8.5971 c=9.4989 alpha=89.04 beta=89.92 gamma=89.89
Fractional positions:
Al: 0.0000 0.0000 0.0000
Al: 0.0013 0.3484 0.4918
Al: 0.4670 0.5058 0.9800
Al: 0.4780 0.5209 0.4906
Al: 0.4867 0.8673 0.4686
Al: 0.4907 0.8662 0.9915
Al: 0.9763 0.3441 0.9861
Al: 0.9844 0.0163 0.4717
H: 0.0026 0.7873 0.5979
H: 0.1052 0.1949 0.2728
H: 0.1302 0.6273 0.3687
H: 0.1672 0.4951 0.1910
H: 0.1706 0.7015 0.8904
H: 0.1878 0.8685 0.2555
H: 0.2941 0.3757 0.6978
H: 0.3061 0.1644 0.1068
H: 0.3152 0.0065 0.7741
H: 0.3385 0.2458 0.8682
H: 0.3857 0.6973 0.6910
H: 0.4109 0.1066 0.5819
H: 0.5909 0.2377 0.3871
H: 0.6171 0.6690 0.2118
H: 0.6336 0.2294 0.1059
H: 0.6607 0.3604 0.2632
H: 0.6739 0.1482 0.8739
H: 0.6844 0.9980 0.2148
H: 0.7750 0.4834 0.7804
H: 0.8086 0.7068 0.3715
H: 0.8128 0.8634 0.7855
H: 0.8356 0.6575 0.0863
H: 0.8729 0.6002 0.6001
H: 0.8795 0.1749 0.6943
O: 0.1200 0.1808 0.0992
O: 0.1227 0.1955 0.3769
O: 0.1599 0.4982 0.0863
O: 0.1739 0.5148 0.3740
O: 0.1754 0.8596 0.3668
O: 0.2008 0.8648 0.0973
O: 0.2842 0.3565 0.8726
O: 0.3035 0.3713 0.5931
O: 0.3206 0.0068 0.5888
O: 0.3288 0.0238 0.8779
O: 0.3579 0.6865 0.8790
O: 0.3643 0.6953 0.5868
O: 0.6257 0.6787 0.3640
O: 0.6456 0.6624 0.1014
O: 0.6496 0.3491 0.3733
O: 0.6648 0.3442 0.1045
O: 0.6817 0.0064 0.3734
O: 0.6842 0.0041 0.1037
O: 0.7789 0.4896 0.8838
O: 0.7954 0.4977 0.5886
O: 0.8110 0.8579 0.8904
O: 0.8488 0.8551 0.5946
O: 0.8582 0.1722 0.8807
O: 0.8626 0.1823 0.5908

Principal peaks in the range 2θ from 15° to 90°, by intensity:
d = 4.749 Å, 2θ 18.69, intensity 100.0, (0 0 2); d = 4.438 Å, 2θ 20.01, intensity 37.0, (1 -1 0); d = 2.500 Å, 2θ 35.93, intensity 21.4, (2 0 1); d = 2.415 Å, 2θ 37.22, intensity 20.5, (1 -3 1); d = 2.433 Å, 2θ 36.94, intensity 18.9, (1 3 1); d = 4.298 Å, 2θ 20.67, intensity 17.9, (0 2 0); d = 1.737 Å, 2θ 52.70, intensity 17.7, (1 3 4); d = 2.005 Å, 2θ 45.23, intensity 17.3, (2 0 -3); d = 1.712 Å, 2θ 53.54, intensity 16.1, (1 3 -4); d = 1.980 Å, 2θ 45.84, intensity 14.9, (-1 3 3); d = 1.952 Å, 2θ 46.53, intensity 14.2, (1 -3 3); d = 2.204 Å, 2θ 40.95, intensity 10.3, (1 -3 2)



Entry 2:
AlH3O3: computed powder XRD pattern (Cu Kα (weighted mean of Kα1 and Kα2)), based on the PBE geometry in the Materials Project.

Cell and atoms:
Unit cell a=5.0629 b=5.1467 c=5.5966 alpha=64.62 beta=64.61 gamma=61.44
Fractional positions:
Al: 0.1748 0.1669 0.4933
Al: 0.8252 0.8331 0.5067
H: 0.0025 0.6538 0.0947
H: 0.3473 0.8747 0.1332
H: 0.3930 0.6361 0.7286
H: 0.6070 0.3639 0.2714
H: 0.6527 0.1253 0.8668
H: 0.9975 0.3462 0.9053
O: 0.0659 0.4362 0.7075
O: 0.1877 0.9457 0.2907
O: 0.4198 0.8138 0.7232
O: 0.5802 0.1862 0.2768
O: 0.8123 0.0543 0.7093
O: 0.9341 0.5638 0.2925

Principal peaks in the range 2θ from 15° to 90°, by intensity:
d = 4.851 Å, 2θ 18.29, intensity 100.0, (0 0 1); d = 2.299 Å, 2θ 39.18, intensity 40.6, (1 -1 1); d = 2.248 Å, 2θ 40.12, intensity 35.0, (1 2 2); d = 2.265 Å, 2θ 39.81, intensity 33.7, (2 1 0); d = 3.807 Å, 2θ 23.37, intensity 26.3, (0 1 1); d = 4.337 Å, 2θ 20.48, intensity 22.1, (0 1 0); d = 1.771 Å, 2θ 51.59, intensity 19.8, (2 1 -1); d = 4.266 Å, 2θ 20.82, intensity 19.7, (1 0 0); d = 1.778 Å, 2θ 51.38, intensity 19.0, (1 -1 2); d = 4.168 Å, 2θ 21.32, intensity 17.4, (1 1 1); d = 1.742 Å, 2θ 52.54, intensity 12.5, (1 2 3); d = 3.775 Å, 2θ 23.57, intensity 10.3, (1 0 1)



Entry 3:
AlH3O3: computed powder XRD pattern (Cu Kα (weighted mean of Kα1 and Kα2)), based on the PBE geometry in the Materials Project.

Cell and atoms:
Unit cell a=5.0691 b=8.8479 c=9.7142 alpha=86.98 beta=89.28 gamma=89.96
Fractional positions:
Al: 0.0000 0.0000 0.0000
Al: 0.9996 0.0134 0.5076
Al: 0.0329 0.6651 0.0127
Al: 0.0412 0.6807 0.5134
Al: 0.4982 0.1673 0.0083
Al: 0.5032 0.1875 0.5122
Al: 0.5368 0.5112 0.5152
Al: 0.5387 0.5031 0.0192
H: 0.0782 0.2576 0.6128
H: 0.1445 0.8481 0.7148
H: 0.1600 0.4227 0.8966
H: 0.1841 0.3460 0.1278
H: 0.1940 0.1613 0.8015
H: 0.2318 0.5392 0.7190
H: 0.2546 0.1236 0.3203
H: 0.3169 0.9839 0.2033
H: 0.3375 0.6511 0.2178
H: 0.3479 0.8522 0.9015
H: 0.4119 0.3621 0.3069
H: 0.4646 0.7652 0.3938
H: 0.5337 0.9423 0.6149
H: 0.6140 0.7400 0.6321
H: 0.6408 0.3353 0.7206
H: 0.6838 0.8083 0.1068
H: 0.6953 0.0334 0.7974
H: 0.7333 0.6410 0.8094
H: 0.7477 0.0471 0.1888
H: 0.8201 0.1848 0.3078
H: 0.8409 0.5223 0.2238
H: 0.8478 0.3162 0.9108
H: 0.9046 0.8377 0.3071
H: 0.9548 0.4344 0.4123
O: 0.1555 0.8419 0.8963
O: 0.1651 0.8521 0.6124
O: 0.1755 0.1616 0.6195
O: 0.1799 0.1702 0.9034
O: 0.2221 0.5323 0.6181
O: 0.2302 0.5246 0.9037
O: 0.3087 0.0116 0.1052
O: 0.3119 0.0513 0.3932
O: 0.3464 0.6504 0.1159
O: 0.3617 0.6717 0.4020
O: 0.3756 0.3308 0.1226
O: 0.3891 0.3606 0.4079
O: 0.6506 0.3369 0.6192
O: 0.6582 0.3366 0.9111
O: 0.6676 0.0228 0.6155
O: 0.6881 0.0268 0.8995
O: 0.7245 0.6495 0.9102
O: 0.7247 0.6509 0.6258
O: 0.8039 0.1285 0.1234
O: 0.8191 0.1701 0.4081
O: 0.8504 0.5081 0.1232
O: 0.8601 0.5311 0.4078
O: 0.8741 0.8262 0.1155
O: 0.8867 0.8443 0.4080

Principal peaks in the range 2θ from 15° to 90°, by intensity:
d = 4.850 Å, 2θ 18.29, intensity 100.0, (0 0 2); d = 4.404 Å, 2θ 20.16, intensity 58.3, (0 2 0); d = 2.442 Å, 2θ 36.80, intensity 18.8, (1 -3 1); d = 1.466 Å, 2θ 63.47, intensity 15.0, (3 -3 0); d = 2.432 Å, 2θ 36.96, intensity 11.2, (1 3 -1); d = 2.053 Å, 2θ 44.11, intensity 9.9, (1 3 3); d = 1.741 Å, 2θ 52.56, intensity 9.1, (2 0 -4); d = 1.792 Å, 2θ 50.97, intensity 8.6, (-1 3 4); d = 2.040 Å, 2θ 44.41, intensity 8.4, (-1 3 3); d = 1.803 Å, 2θ 50.61, intensity 7.7, (1 3 4); d = 1.723 Å, 2θ 53.17, intensity 7.6, (1 -3 4); d = 1.763 Å, 2θ 51.86, intensity 7.5, (2 0 4)



> Number 3 is which compound?

AlH3O3



> Which formula does entry 3 have?

AlH3O3